[1]
Theoretical X-ray diffraction stick pattern
Compound: CuC2S2N6
Radiation: Cu Ka
Structure: a cell relaxed with PBE
Lines closer than 0.1° are merged.

Structure:
```
data_CuC2S2N6
_space_group_name_H-M_alt 'C 1 2/m 1'
_space_group_IT_number 12
_cell_length_a 10.4214
_cell_length_b 7.7851
_cell_length_c 6.7240
_cell_angle_alpha 90.00
_cell_angle_beta 126.70
_cell_angle_gamma 90.00
loop_
_space_group_symop_operation_xyz
'x,y,z'
'-x,-y,-z'
'-x,y,-z'
'x,-y,z'
'x+1/2,y+1/2,z'
'-x+1/2,-y+1/2,-z'
'-x+1/2,y+1/2,-z'
'x+1/2,-y+1/2,z'
loop_
_atom_site_label
_atom_site_fract_x
_atom_site_fract_y
_atom_site_fract_z
Cu1 0.0000 0.0000 0.0000
C1 0.2371 0.5000 0.0766
S1 0.2339 0.5000 0.8276
N1 0.0431 0.1704 0.2426
N2 0.2340 0.5000 0.2494
```

Top 6 peaks for 10 to 90 degrees two-theta, low angle first:
Position (°2θ)  I (rel.)  hkl
15.56  98.8  1 1 0
16.44  99.4  0 0 1
17.44  100.0  1 1 -1
22.85  71.6  0 2 0
28.27  69.9  0 2 1
45.07  34.4  1 3 -2



[2]
Theoretical X-ray diffraction stick pattern
Compound: Lu3Ru2
Radiation: Cu Ka
Structure: a cell relaxed with PBE
Lines closer than 0.1° are merged.

Structure:
```
data_Lu3Ru2
_space_group_name_H-M_alt 'P 63/m'
_space_group_IT_number 176
_space_group_name_Hall '-P 6c'
_cell_length_a 7.4891
_cell_length_b 7.4891
_cell_length_c 4.6305
_cell_angle_alpha 90.00
_cell_angle_beta 90.00
_cell_angle_gamma 120.00
loop_
_atom_site_label
_atom_site_fract_x
_atom_site_fract_y
_atom_site_fract_z
Lu1 0.0852 0.3876 0.2500
Ru1 0.0000 0.0000 0.0000
Ru2 0.3333 0.6667 0.7500
```

Top 6 peaks for 10 to 90 degrees two-theta, low angle first:
Position (°2θ)  I (rel.)  hkl
30.71  100.0  1 1 1
33.74  56.6  2 0 1
36.66  53.4  1 2 0
41.74  56.2  3 0 0
54.52  26.9  2 1 2
65.96  33.2  2 3 1



[3]
Theoretical X-ray diffraction stick pattern
Compound: YMg14Zr
Radiation: Cu Ka
Structure: a cell relaxed with PBE
Lines closer than 0.1° are merged.

Structure:
```
data_YMg14Zr
_space_group_name_H-M_alt 'P -6 m 2'
_space_group_IT_number 187
_space_group_name_Hall 'P -6 2'
_cell_length_a 6.5359
_cell_length_b 6.5359
_cell_length_c 10.1855
_cell_angle_alpha 90.00
_cell_angle_beta 90.00
_cell_angle_gamma 120.00
loop_
_atom_site_label
_atom_site_fract_x
_atom_site_fract_y
_atom_site_fract_z
Y1 0.0000 0.0000 0.0000
Mg1 0.0027 0.5013 0.5000
Mg2 0.0050 0.5025 0.0000
Mg3 0.1669 0.3338 0.2540
Mg4 0.6667 0.3333 0.2488
Zr1 0.0000 0.0000 0.5000
```

Top 6 peaks for 10 to 90 degrees two-theta, low angle first:
Position (°2θ)  I (rel.)  hkl
15.66  31.4  1 0 0
23.50  24.5  1 0 2
31.61  28.3  2 0 0
35.25  23.7  0 0 4
36.32  100.0  2 0 2
68.19  19.0  2 2 4



[4]
Theoretical X-ray diffraction stick pattern
Compound: Zr3Mn8Al
Radiation: Cu Ka
Structure: a cell relaxed with PBE
Lines closer than 0.1° are merged.

Structure:
```
data_Zr3Mn8Al
_space_group_name_H-M_alt 'P 3 m 1'
_space_group_IT_number 156
_cell_length_a 4.8689
_cell_length_b 4.8689
_cell_length_c 8.1208
_cell_angle_alpha 90.00
_cell_angle_beta 90.00
_cell_angle_gamma 120.00
loop_
_space_group_symop_operation_xyz
'x,y,z'
'-y,x-y,z'
'-x+y,-x,z'
'-y,-x,z'
'-x+y,y,z'
'x,x-y,z'
loop_
_atom_site_label
_atom_site_fract_x
_atom_site_fract_y
_atom_site_fract_z
Zr1 0.0000 0.0000 0.0000
Zr2 0.0000 0.0000 0.3764
Zr3 0.3333 0.6667 0.8581
Mn1 0.0134 0.5067 0.1889
Mn2 0.3246 0.1623 0.6799
Mn3 0.6667 0.3333 0.4372
Mn4 0.6667 0.3333 0.9397
Al1 0.3333 0.6667 0.4984
```

Top 6 peaks for 10 to 90 degrees two-theta, low angle first:
Position (°2θ)  I (rel.)  hkl
36.92  41.1  1 1 0
39.56  89.8  0 1 3
43.34  100.0  1 1 2
44.39  80.6  0 2 1
68.30  29.1  1 2 3
73.62  27.1  2 0 5



[5]
Theoretical X-ray diffraction stick pattern
Compound: U4Tc7Ge6
Radiation: Cu Ka
Structure: a cell relaxed with PBE
Lines closer than 0.1° are merged.

Structure:
```
data_U4Tc7Ge6
_space_group_name_H-M_alt 'I m -3 m'
_space_group_IT_number 229
_space_group_name_Hall '-I 4 2 3'
_cell_length_a 8.3438
_cell_length_b 8.3438
_cell_length_c 8.3438
_cell_angle_alpha 90.00
_cell_angle_beta 90.00
_cell_angle_gamma 90.00
loop_
_atom_site_label
_atom_site_fract_x
_atom_site_fract_y
_atom_site_fract_z
U1 0.2500 0.2500 0.2500
Tc1 0.0000 0.0000 0.0000
Tc2 0.0000 0.2500 0.5000
Ge1 0.0000 0.0000 0.3075
```

Top 6 peaks for 10 to 90 degrees two-theta, low angle first:
Position (°2θ)  I (rel.)  hkl
21.30  16.1  2 0 0
30.30  45.1  2 2 0
37.33  100.0  2 2 2
43.38  60.0  4 0 0
63.02  34.6  4 4 0
75.60  31.0  6 2 2



[6]
Theoretical X-ray diffraction stick pattern
Compound: Sc
Radiation: Cu Ka
Structure: a cell relaxed with PBE
Lines closer than 0.1° are merged.

Structure:
```
data_Sc
_space_group_name_H-M_alt 'I 4/m c m'
_space_group_IT_number 140
_space_group_name_Hall '-I 4 2c'
_cell_length_a 6.1549
_cell_length_b 6.1549
_cell_length_c 5.4047
_cell_angle_alpha 90.00
_cell_angle_beta 90.00
_cell_angle_gamma 90.00
loop_
_atom_site_label
_atom_site_fract_x
_atom_site_fract_y
_atom_site_fract_z
Sc1 0.1646 0.3354 0.0000
```

Top 6 peaks for 10 to 90 degrees two-theta, low angle first:
Position (°2θ)  I (rel.)  hkl
20.41  14.7  1 1 0
29.01  19.4  2 0 0
33.15  29.4  0 0 2
36.64  100.0  2 1 1
61.52  19.0  2 1 3
64.79  14.5  4 1 1



[7]
Theoretical X-ray diffraction stick pattern
Compound: HfZrSb2Rh2
Radiation: Cu Ka
Structure: a cell relaxed with PBE
Lines closer than 0.1° are merged.

Structure:
```
data_HfZrSb2Rh2
_space_group_name_H-M_alt 'R 3 m'
_space_group_IT_number 160
_space_group_name_Hall 'R 3 -2"'
_cell_length_a 4.6251
_cell_length_b 4.6251
_cell_length_c 22.3351
_cell_angle_alpha 90.00
_cell_angle_beta 90.00
_cell_angle_gamma 120.00
loop_
_atom_site_label
_atom_site_fract_x
_atom_site_fract_y
_atom_site_fract_z
Hf1 0.0000 0.0000 0.0000
Zr1 0.0000 0.0000 0.5004
Sb1 0.0000 0.0000 0.1252
Sb2 0.0000 0.0000 0.6278
Rh1 0.0000 0.0000 0.3744
Rh2 0.0000 0.0000 0.8774
```

Top 6 peaks for 10 to 90 degrees two-theta, low angle first:
Position (°2θ)  I (rel.)  hkl
23.60  51.3  0 1 2
38.95  100.0  1 1 0
39.34  96.8  0 1 8
46.21  18.1  1 1 6
56.55  33.1  2 0 8
70.80  33.5  1 2 8